# 1
For Hf3N2O3, DFT lattice parameters and positions (GGA-PBE) gives the computed XRD peak list in this record (CuKα).
Intensities are scaled so that the largest is 100.

Structural model:
Unit cell a=5.6457 b=5.6457 c=10.5695 alpha=90.00 beta=90.00 gamma=138.06
Atoms (fractional coordinates):
Hf 0.1439 0.8561 0.5567
Hf 0.1439 0.8561 0.9433
Hf 0.1919 0.8081 0.2500
Hf 0.8081 0.1919 0.7500
Hf 0.8561 0.1439 0.0567
Hf 0.8561 0.1439 0.4433
N 0.3003 0.6997 0.0789
N 0.3003 0.6997 0.4211
N 0.6997 0.3003 0.5789
N 0.6997 0.3003 0.9211
O 0.0435 0.9565 0.1160
O 0.0435 0.9565 0.3840
O 0.2478 0.7522 0.7500
O 0.7522 0.2478 0.2500
O 0.9565 0.0435 0.6160
O 0.9565 0.0435 0.8840

Most intense lines, 2θ = 10–80°, low angle first:
2θ/deg	intensity
16.8	65
23.6	92
30.5	90
33.8	73
34.8	100
38.1	29
42.8	27
44.9	32
55.2	34
55.6	38


# 2
For MgTi4Zn2O10, DFT lattice parameters and positions (GGA-PBE) gives the computed XRD peak list in this record (CuKα).
Intensities are scaled so that the largest is 100.

Structural model:
Unit cell a=3.6367 b=12.4585 c=4.9189 alpha=90.00 beta=90.00 gamma=90.00
Atoms (fractional coordinates):
Mg 0.0000 0.0000 0.0000
Ti 0.0000 0.1765 0.4641
Ti 0.0000 0.8235 0.4641
Ti 0.5000 0.3600 0.6573
Ti 0.5000 0.6400 0.6573
Zn 0.0000 0.5000 0.1906
Zn 0.5000 0.0000 0.3797
O 0.0000 0.0000 0.6040
O 0.0000 0.1603 0.1200
O 0.0000 0.3358 0.5279
O 0.0000 0.6642 0.5279
O 0.0000 0.8397 0.1200
O 0.5000 0.1960 0.5989
O 0.5000 0.3941 0.9993
O 0.5000 0.5000 0.4813
O 0.5000 0.6059 0.9993
O 0.5000 0.8040 0.5989

Most intense lines, 2θ = 10–80°, low angle first:
2θ/deg	intensity
18.0	100
23.0	59
30.6	35
31.4	58
32.7	75
33.9	43
43.6	42
46.9	41
50.2	45
53.8	36


# 3
For GaGe2H5CNO6, DFT lattice parameters and positions (GGA-PBE) gives the computed XRD peak list in this record (CuKα).
Intensities are scaled so that the largest is 100.

Structural model:
Unit cell a=7.2956 b=7.8065 c=7.8095 alpha=113.51 beta=101.42 gamma=108.64
Atoms (fractional coordinates):
Ga 0.0724 0.3068 0.2443
Ga 0.9276 0.6932 0.7557
Ge 0.2437 0.8063 0.5195
Ge 0.2793 0.9777 0.1990
Ge 0.7207 0.0223 0.8010
Ge 0.7563 0.1937 0.4805
H 0.2265 0.3652 0.6286
H 0.2759 0.4702 0.9788
H 0.3497 0.2660 0.8682
H 0.4066 0.6145 0.7847
H 0.4897 0.4367 0.6869
H 0.5103 0.5633 0.3131
H 0.5934 0.3855 0.2153
H 0.6503 0.7340 0.1318
H 0.7241 0.5298 0.0212
H 0.7735 0.6348 0.3714
C 0.3899 0.4309 0.9204
C 0.6101 0.5691 0.0796
N 0.3769 0.4631 0.7439
N 0.6231 0.5369 0.2561
O 0.0079 0.7384 0.5601
O 0.1313 0.7409 0.9728
O 0.2347 0.9669 0.4116
O 0.2478 0.1858 0.1866
O 0.2733 0.5859 0.3708
O 0.4522 0.9653 0.7594
O 0.5478 0.0347 0.2406
O 0.7267 0.4141 0.6292
O 0.7522 0.8142 0.8134
O 0.7653 0.0331 0.5884
O 0.8687 0.2591 0.0272
O 0.9921 0.2616 0.4399

Most intense lines, 2θ = 10–80°, low angle first:
2θ/deg	intensity
13.3	26
13.6	35
13.8	47
14.6	46
15.2	47
22.6	40
24.9	100
25.0	91
32.8	47
40.7	25


# 4
For HoGe4Rh6, DFT lattice parameters and positions (GGA-PBE) gives the computed XRD peak list in this record (CuKα).
Intensities are scaled so that the largest is 100.

Structural model:
Unit cell a=7.2276 b=7.2276 c=3.8432 alpha=90.00 beta=90.00 gamma=120.00
Atoms (fractional coordinates):
Ho 0.0000 0.0000 0.0000
Ge 0.3333 0.6667 0.0000
Ge 0.3927 0.1964 0.5000
Ge 0.8036 0.1964 0.5000
Ge 0.8036 0.6073 0.5000
Rh 0.1983 0.3967 0.5000
Rh 0.1983 0.8017 0.5000
Rh 0.5335 0.0670 0.0000
Rh 0.5335 0.4665 0.0000
Rh 0.6033 0.8017 0.5000
Rh 0.9330 0.4665 0.0000

Most intense lines, 2θ = 10–80°, low angle first:
2θ/deg	intensity
34.1	27
37.0	100
38.0	34
45.0	30
47.3	24
49.7	14
50.5	27
58.3	8
62.2	16
71.7	18